1.
Structure and theoretical XRD peak list of CoB2Pb2O6 (the PBE+U geometry in Alexandria; Cu Kα).

Structure:
abc: 6.325 6.325 6.325
angles: 49.24 49.24 49.24
Sites, in units of the cell vectors:
Co (0.000, 0.000, 0.000)
B (0.412, 0.412, 0.412)
B (0.588, 0.588, 0.588)
Pb (0.218, 0.218, 0.218)
Pb (0.782, 0.782, 0.782)
O (0.261, 0.261, 0.718)
O (0.261, 0.718, 0.261)
O (0.282, 0.739, 0.739)
O (0.718, 0.261, 0.261)
O (0.739, 0.282, 0.739)
O (0.739, 0.739, 0.282)

The 12 most intense peaks (2θ from 10° to 90°), most intense first:
2θ = 34.0°, 2.635 Å, I 100.0
2θ = 33.3°, 2.689 Å, I 98.3
2θ = 22.2°, 4.001 Å, I 96.8
2θ = 29.0°, 3.074 Å, I 63.8
2θ = 41.0°, 2.201 Å, I 46.4
2θ = 45.3°, 2.001 Å, I 38.9
2θ = 61.3°, 1.513 Å, I 37.8
2θ = 48.4°, 1.882 Å, I 30.8
2θ = 60.5°, 1.531 Å, I 30.6
2θ = 42.9°, 2.108 Å, I 27.3
2θ = 16.0°, 5.545 Å, I 24.4
2θ = 20.2°, 4.401 Å, I 23.4

---

2.
Structure and theoretical XRD peak list of PmCo2B2O7 (the PBE+U geometry in Alexandria; Cu Kα).

Structure:
abc: 8.809 8.809 8.809
angles: 32.88 32.88 32.88
Sites, in units of the cell vectors:
Pm (0.000, 0.000, 0.000)
Co (0.428, 0.428, 0.428)
Co (0.572, 0.572, 0.572)
B (0.272, 0.272, 0.272)
B (0.728, 0.728, 0.728)
O (0.010, 0.455, 0.713)
O (0.287, 0.545, 0.990)
O (0.455, 0.713, 0.010)
O (0.500, 0.500, 0.500)
O (0.545, 0.990, 0.287)
O (0.713, 0.010, 0.455)
O (0.990, 0.287, 0.545)

The 12 most intense peaks (2θ from 10° to 90°), most intense first:
2θ = 10.6°, 8.326 Å, I 100.0
2θ = 21.8°, 4.081 Å, I 94.3
2θ = 32.6°, 2.750 Å, I 71.4
2θ = 36.0°, 2.493 Å, I 48.0
2θ = 25.1°, 3.551 Å, I 46.7
2θ = 27.3°, 3.267 Å, I 46.3
2θ = 49.1°, 1.854 Å, I 29.9
2θ = 42.5°, 2.127 Å, I 26.3
2θ = 57.7°, 1.598 Å, I 20.3
2θ = 56.9°, 1.618 Å, I 19.8
2θ = 62.6°, 1.484 Å, I 16.5
2θ = 55.8°, 1.649 Å, I 15.6

---

3.
Structure and theoretical XRD peak list of ThCo3B4O12 (the PBE+U geometry in Alexandria; Cu Kα).

Structure:
abc: 6.140 6.140 6.140
angles: 103.61 103.61 103.61
Sites, in units of the cell vectors:
Th (0.000, 0.000, 0.000)
Co (0.000, 0.553, 0.447)
Co (0.447, 0.000, 0.553)
Co (0.553, 0.447, 0.000)
B (0.053, 0.500, 0.947)
B (0.500, 0.500, 0.500)
B (0.500, 0.947, 0.053)
B (0.947, 0.053, 0.500)
O (0.033, 0.633, 0.794)
O (0.090, 0.910, 0.500)
O (0.206, 0.367, 0.967)
O (0.356, 0.644, 0.500)
O (0.367, 0.967, 0.206)
O (0.500, 0.090, 0.910)
O (0.500, 0.356, 0.644)
O (0.633, 0.794, 0.033)
O (0.644, 0.500, 0.356)
O (0.794, 0.033, 0.633)
O (0.910, 0.500, 0.090)
O (0.967, 0.206, 0.367)

The 12 most intense peaks (2θ from 10° to 90°), most intense first:
2θ = 31.5°, 2.839 Å, I 100.0
2θ = 24.2°, 3.677 Å, I 94.3
2θ = 15.6°, 5.678 Å, I 62.6
2θ = 18.4°, 4.825 Å, I 42.3
2θ = 30.6°, 2.925 Å, I 37.8
2θ = 51.9°, 1.762 Å, I 31.5
2θ = 37.3°, 2.413 Å, I 29.2
2θ = 36.7°, 2.447 Å, I 28.0
2θ = 25.4°, 3.511 Å, I 21.6
2θ = 52.1°, 1.755 Å, I 21.5
2θ = 40.6°, 2.221 Å, I 20.6
2θ = 32.1°, 2.786 Å, I 20.1

---

4.
Structure and theoretical XRD peak list of TiCo3B2O8 (the PBE+U geometry in Alexandria; Cu Kα).

Structure:
abc: 3.146 9.498 9.405
angles: 90.00 90.00 90.00
Sites, in units of the cell vectors:
Ti (0.000, 0.185, 0.000)
Ti (0.000, 0.815, 0.500)
Co (0.000, 0.432, 0.494)
Co (0.000, 0.568, 0.994)
Co (0.500, 0.071, 0.290)
Co (0.500, 0.319, 0.769)
Co (0.500, 0.681, 0.269)
Co (0.500, 0.929, 0.790)
B (0.000, 0.121, 0.562)
B (0.000, 0.879, 0.062)
B (0.500, 0.382, 0.220)
B (0.500, 0.618, 0.720)
O (0.000, 0.008, 0.139)
O (0.000, 0.115, 0.417)
O (0.000, 0.249, 0.632)
O (0.000, 0.358, 0.915)
O (0.000, 0.642, 0.415)
O (0.000, 0.751, 0.132)
O (0.000, 0.885, 0.917)
O (0.000, 0.992, 0.639)
O (0.500, 0.127, 0.898)
O (0.500, 0.250, 0.147)
O (0.500, 0.381, 0.364)
O (0.500, 0.495, 0.642)
O (0.500, 0.505, 0.142)
O (0.500, 0.619, 0.864)
O (0.500, 0.750, 0.647)
O (0.500, 0.873, 0.398)

The 12 most intense peaks (2θ from 10° to 90°), most intense first:
2θ = 34.3°, 2.615 Å, I 100.0
2θ = 21.0°, 4.239 Å, I 34.3
2θ = 29.8°, 3.001 Å, I 30.7
2θ = 34.1°, 2.626 Å, I 25.3
2θ = 50.2°, 1.818 Å, I 24.5
2θ = 56.9°, 1.618 Å, I 19.0
2θ = 60.6°, 1.529 Å, I 18.4
2θ = 35.6°, 2.524 Å, I 18.4
2θ = 45.1°, 2.012 Å, I 15.8
2θ = 58.7°, 1.573 Å, I 14.4
2θ = 40.4°, 2.231 Å, I 11.2
2θ = 13.2°, 6.683 Å, I 10.2